The following is a computed PXRD pattern of Mg3As2. It was derived from DFT lattice parameters and positions (PBE), using Cu Kα, 1.54184 Å.
Neutral-atom scattering factors, no anomalous dispersion.

Cell and atoms:
```
data_Mg3As2
_chemical_formula_sum 'Mg6 As4'
_cell_length_a 6.2195
_cell_length_b 6.2195
_cell_length_c 6.2195
_cell_angle_alpha 90.00
_cell_angle_beta 90.00
_cell_angle_gamma 90.00
_space_group_name_H-M_alt 'P n -3 m'
_space_group_IT_number 224
loop_
_space_group_symop_operation_xyz
'x,y,z'
'-x,-y,-z'
'-y,x+1/2,z+1/2'
'y,-x+1/2,-z+1/2'
'-x+1/2,-y+1/2,z'
'x+1/2,y+1/2,-z'
'y+1/2,-x,z+1/2'
'-y+1/2,x,-z+1/2'
'x,-y+1/2,-z+1/2'
'-x,y+1/2,z+1/2'
'-y,-x,-z'
'y,x,z'
'-x+1/2,y,-z+1/2'
'x+1/2,-y,z+1/2'
'y+1/2,x+1/2,-z'
'-y+1/2,-x+1/2,z'
'z,x,y'
'-z,-x,-y'
'z+1/2,-y,x+1/2'
'-z+1/2,y,-x+1/2'
'z,-x+1/2,-y+1/2'
'-z,x+1/2,y+1/2'
'z+1/2,y+1/2,-x'
'-z+1/2,-y+1/2,x'
'-z+1/2,x,-y+1/2'
'z+1/2,-x,y+1/2'
'-z,-y,-x'
'z,y,x'
'-z+1/2,-x+1/2,y'
'z+1/2,x+1/2,-y'
'-z,y+1/2,x+1/2'
'z,-y+1/2,-x+1/2'
'y,z,x'
'-y,-z,-x'
'x+1/2,z+1/2,-y'
'-x+1/2,-z+1/2,y'
'-y+1/2,z,-x+1/2'
'y+1/2,-z,x+1/2'
'-x,z+1/2,y+1/2'
'x,-z+1/2,-y+1/2'
'-y+1/2,-z+1/2,x'
'y+1/2,z+1/2,-x'
'-x,-z,-y'
'x,z,y'
'y,-z+1/2,-x+1/2'
'-y,z+1/2,x+1/2'
'x+1/2,-z,y+1/2'
'-x+1/2,z,-y+1/2'
loop_
_atom_site_label
_atom_site_type_symbol
_atom_site_fract_x
_atom_site_fract_y
_atom_site_fract_z
Mg1 Mg 0.2500 0.2500 0.7500
As1 As 0.0000 0.0000 0.0000
```

Top 12 peaks for 15 to 90 degrees two-theta, in order of rising 2θ:
d (Å)	I_rel	h k l
4.398	7	1 1 0
3.591	100	1 1 1
3.110	13	2 0 0
2.199	87	2 2 0
1.875	47	3 1 1
1.795	4	2 2 2
1.555	14	4 0 0
1.427	19	3 3 1
1.391	5	4 2 0
1.270	28	4 2 2
1.197	14	5 1 1
1.099	9	4 4 0